Entry 1:
Computed XRD peak list of La8Te4AuSe3 for a wavelength of 1.5418 Å, from a crystal structure in Alexandria, relaxed with PBE.
Kinematic intensities with the Lorentz-polarization factor, no thermal factor.

Structural model:
Lattice parameters (Å, degrees): 8.986 8.986 8.986 59.17 59.17 59.17
Fractional coordinates of all 16 atoms:
La 0.242 0.242 0.242
La 0.242 0.744 0.744
La 0.256 0.256 0.758
La 0.256 0.758 0.256
La 0.744 0.242 0.744
La 0.744 0.744 0.242
La 0.758 0.256 0.256
La 0.758 0.758 0.758
Te 0.000 0.000 0.000
Te 0.000 0.500 0.500
Te 0.500 0.000 0.500
Te 0.500 0.500 0.000
Au 0.500 0.500 0.500
Se 0.000 0.000 0.500
Se 0.000 0.500 0.000
Se 0.500 0.000 0.000

Peak list (8 most intense, 2θ = 10–90°, by angle)
- 2θ 28.27, I 100
- 2θ 40.15, I 37
- 2θ 40.68, I 38
- 2θ 50.28, I 20
- 2θ 58.48, I 12
- 2θ 65.83, I 16
- 2θ 66.58, I 17
- 2θ 73.67, I 12

***

Entry 2:
Computed XRD peak list of LaSiAu for a wavelength of 1.5418 Å, from a crystal structure in Alexandria, relaxed with PBE.
Kinematic intensities with the Lorentz-polarization factor, no thermal factor.

Structural model:
Lattice parameters (Å, degrees): 8.241 8.241 8.241 149.76 149.76 43.29
Fractional coordinates of all 6 atoms:
La 0.000 0.000 0.000
La 0.750 0.250 0.500
Si 0.172 0.672 0.500
Si 0.328 0.828 0.500
Au 0.410 0.410 0.000
Au 0.590 0.590 0.000

Peak list (8 most intense, 2θ = 10–90°, by angle)
- 2θ 21.47, I 52
- 2θ 27.11, I 34
- 2θ 29.38, I 30
- 2θ 31.67, I 100
- 2θ 36.00, I 93
- 2θ 42.03, I 54
- 2θ 46.57, I 31
- 2θ 56.51, I 51